# 1
# NdMg2InPb
Simulated powder diffraction line list, a wavelength of 1.5418 Å. Input: a DFT-relaxed cell (GGA-PBE, Alexandria).
Kinematic intensities with the Lorentz-polarization factor, no thermal factor.

Structural model:
Cell lengths 6.140, 6.140, 9.895 Å; angles 90.00, 90.00, 134.38 degrees
Atoms (fractional coordinates):
Nd: 0.054 0.946 0.750
Nd: 0.946 0.054 0.250
Mg: 0.229 0.771 0.084
Mg: 0.229 0.771 0.416
Mg: 0.771 0.229 0.584
Mg: 0.771 0.229 0.916
In: 0.500 0.500 0.000
In: 0.500 0.500 0.500
Pb: 0.336 0.664 0.750
Pb: 0.664 0.336 0.250

Principal peaks in the range 2θ = 10–90°, in order of falling intensity:
d/Å	I_rel
2.538	100
4.012	76
2.637	51
2.721	38
2.381	34
4.947	33
2.474	27
3.283	26
2.147	23
1.792	23

# 2
# Mg2In2Ni
Simulated powder diffraction line list, a wavelength of 1.5418 Å. Input: a DFT-relaxed cell (GGA-PBE, Alexandria).
Kinematic intensities with the Lorentz-polarization factor, no thermal factor.

Structural model:
Cell lengths 11.329, 11.329, 11.329 Å; angles 157.61, 157.61, 31.87 degrees
Atoms (fractional coordinates):
Mg: 0.054 0.304 0.750
Mg: 0.304 0.054 0.250
Mg: 0.696 0.946 0.750
Mg: 0.946 0.696 0.250
In: 0.193 0.443 0.750
In: 0.443 0.193 0.250
In: 0.557 0.807 0.750
In: 0.807 0.557 0.250
Ni: 0.375 0.625 0.750
Ni: 0.625 0.375 0.250

Principal peaks in the range 2θ = 10–90°, in order of falling intensity:
d/Å	I_rel
2.362	100
3.096	57
2.199	53
4.312	51
2.991	31
1.299	28
1.793	23
3.763	21
2.723	17
1.555	17